No. 1
# PrTlW2O8
Calculated XRD peak list, Cu Kα X-rays. Input: a GGA+U-relaxed structure.
Neutral-atom scattering factors, no anomalous dispersion.

Crystal structure
```
data_PrTlW2O8
_chemical_formula_sum 'Pr4 Tl4 W8 O32'
_space_group_name_H-M_alt 'C 1 2/m 1'
_space_group_IT_number 12
_cell_length_a 11.4707
_cell_length_b 11.7685
_cell_length_c 7.8945
_cell_angle_alpha 90.00
_cell_angle_beta 133.41
_cell_angle_gamma 90.00
loop_
_space_group_symop_operation_xyz
'x,y,z'
'-x,-y,-z'
'-x,y,-z'
'x,-y,z'
'x+1/2,y+1/2,z'
'-x+1/2,-y+1/2,-z'
'-x+1/2,y+1/2,-z'
'x+1/2,-y+1/2,z'
loop_
_atom_site_label
_atom_site_type_symbol
_atom_site_fract_x
_atom_site_fract_y
_atom_site_fract_z
Pr1 Pr 0.2355 0.0000 0.0660
Tl1 Tl 0.0000 0.2188 0.5000
W1 W 0.0000 0.3432 0.0000
W2 W 0.2436 0.5000 0.5004
O1 O 0.0265 0.5000 0.8490
O2 O 0.0361 0.0000 0.2952
O3 O 0.0705 0.2497 0.9068
O4 O 0.2135 0.3915 0.6422
O5 O 0.2147 0.3836 0.2900
```

Main lines, by angle (2θ from 5° to 70°):
2theta, I_rel, index
25.34, 76, 1 3 -1
26.21, 100, 2 2 0
27.20, 73, 2 2 -2
31.21, 62, 0 0 2
43.44, 22, 4 0 0
46.95, 28, 5 3 -3
47.64, 20, 4 4 -3
52.01, 27, 2 2 2

***

No. 2
# PrTlW2O8
Calculated XRD peak list, Cu Kα X-rays. Input: a GGA+U-relaxed structure.
Neutral-atom scattering factors, no anomalous dispersion.

Crystal structure
```
data_PrTlW2O8
_chemical_formula_sum 'Pr4 Tl4 W8 O32'
_space_group_name_H-M_alt 'C 1 2/c 1'
_space_group_IT_number 15
_cell_length_a 11.0533
_cell_length_b 10.9569
_cell_length_c 7.5780
_cell_angle_alpha 90.00
_cell_angle_beta 129.84
_cell_angle_gamma 90.00
loop_
_space_group_symop_operation_xyz
'x,y,z'
'-x,-y,-z'
'-x,y,-z+1/2'
'x,-y,z+1/2'
'x+1/2,y+1/2,z'
'-x+1/2,-y+1/2,-z'
'-x+1/2,y+1/2,-z+1/2'
'x+1/2,-y+1/2,z+1/2'
loop_
_atom_site_label
_atom_site_type_symbol
_atom_site_fract_x
_atom_site_fract_y
_atom_site_fract_z
Pr1 Pr 0.0000 0.2245 0.2500
Tl1 Tl 0.0000 0.2041 0.7500
W1 W 0.1918 0.4953 0.2218
O1 O 0.0226 0.3940 0.4733
O2 O 0.1345 0.0797 0.1891
O3 O 0.1855 0.4348 0.9412
O4 O 0.2285 0.1556 0.6339
```

Main lines, by angle (2θ from 5° to 70°):
2theta, I_rel, index
26.57, 100, 2 2 0
27.60, 20, 3 1 -2
28.68, 74, 2 2 -2
30.73, 33, 0 0 2
32.67, 48, 0 4 0
45.48, 16, 0 4 2
52.85, 15, 3 5 0
54.59, 15, 2 2 -4